Computed powder XRD pattern of AlGaHgSe2S2 for a wavelength of 1.5418 Å, from a DFT-relaxed cell (GGA-PBE, OQMD).

Principal peaks in the range 2θ from 15° to 90°, in order of rising 2θ:
2θ = 16.7°, I = 48, hkl 0 2 0
2θ = 22.2°, I = 62, hkl 2 0 -1
2θ = 27.4°, I = 100, hkl 0 2 1
2θ = 27.9°, I = 79, hkl 2 2 -1
2θ = 35.2°, I = 40, hkl 2 2 0
2θ = 35.8°, I = 40, hkl 2 2 -2

Crystal structure
```
data_AlGaHgSe2S2
_chemical_formula_sum 'Al2 Ga2 Hg2 Se4 S4'
_space_group_name_H-M_alt 'C 1 2 1'
_space_group_IT_number 5
_cell_length_a 8.0207
_cell_length_b 10.5919
_cell_length_c 5.6982
_cell_angle_alpha 90.00
_cell_angle_beta 133.55
_cell_angle_gamma 90.00
loop_
_space_group_symop_operation_xyz
'x,y,z'
'-x,y,-z'
'x+1/2,y+1/2,z'
'-x+1/2,y+1/2,-z'
loop_
_atom_site_label
_atom_site_type_symbol
_atom_site_fract_x
_atom_site_fract_y
_atom_site_fract_z
Al1 Al 0.0000 0.0000 0.0000
Ga1 Ga 0.0000 0.7603 0.5000
Hg1 Hg 0.0000 0.2566 0.5000
Se1 Se 0.2213 0.6156 0.9617
S1 S 0.2182 0.8940 0.4796
```


Computed powder XRD pattern of AlGaHgTe3S for a wavelength of 1.5418 Å, from a DFT-relaxed cell (GGA-PBE, OQMD).

Principal peaks in the range 2θ from 15° to 90°, in order of rising 2θ:
2θ = 20.8°, I = 39, hkl 1 1 -1
2θ = 25.0°, I = 58, hkl 1 -1 1
2θ = 25.8°, I = 100, hkl -1 1 1
2θ = 26.1°, I = 49, hkl 1 1 -2
2θ = 40.8°, I = 29, hkl 2 -2 0
2θ = 42.6°, I = 26, hkl 2 0 1

Crystal structure
```
data_AlGaHgTe3S
_chemical_formula_sum 'Al1 Ga1 Hg1 Te3 S1'
_space_group_name_H-M_alt 'P 1'
_space_group_IT_number 1
_cell_length_a 6.1124
_cell_length_b 6.1976
_cell_length_c 7.1262
_cell_angle_alpha 115.48
_cell_angle_beta 112.93
_cell_angle_gamma 91.98
loop_
_space_group_symop_operation_xyz
'x,y,z'
loop_
_atom_site_label
_atom_site_type_symbol
_atom_site_fract_x
_atom_site_fract_y
_atom_site_fract_z
Al1 Al 0.0000 0.0000 0.0000
Ga1 Ga 0.7722 0.2309 0.4691
Hg1 Hg 0.2587 0.7188 0.4825
Te1 Te 0.1480 0.1483 0.7610
Te2 Te 0.3861 0.8439 0.1877
Te3 Te 0.6492 0.5861 0.7605
S1 S 0.8794 0.3149 0.2219
```


Computed powder XRD pattern of AlGaHgSe4 for a wavelength of 1.5418 Å, from a DFT-relaxed cell (GGA-PBE, OQMD).

Principal peaks in the range 2θ from 15° to 90°, in order of rising 2θ:
2θ = 17.2°, I = 37, hkl 1 0 1
2θ = 27.0°, I = 100, hkl 1 1 2
2θ = 35.2°, I = 27, hkl 1 2 1
2θ = 43.7°, I = 26, hkl 2 2 0
2θ = 45.3°, I = 46, hkl 2 0 4
2θ = 52.1°, I = 30, hkl 3 1 2

Crystal structure
```
data_AlGaHgSe4
_chemical_formula_sum 'Al2 Ga2 Hg2 Se8'
_space_group_name_H-M_alt 'I -4'
_space_group_IT_number 82
_cell_length_a 5.8594
_cell_length_b 5.8594
_cell_length_c 10.9649
_cell_angle_alpha 90.00
_cell_angle_beta 90.00
_cell_angle_gamma 90.00
loop_
_space_group_symop_operation_xyz
'x,y,z'
'y,-x,-z'
'-x,-y,z'
'-y,x,-z'
'x+1/2,y+1/2,z+1/2'
'y+1/2,-x+1/2,-z+1/2'
'-x+1/2,-y+1/2,z+1/2'
'-y+1/2,x+1/2,-z+1/2'
loop_
_atom_site_label
_atom_site_type_symbol
_atom_site_fract_x
_atom_site_fract_y
_atom_site_fract_z
Al1 Al 0.0000 0.0000 0.0000
Ga1 Ga 0.0000 0.5000 0.7500
Hg1 Hg 0.0000 0.0000 0.5000
Se1 Se 0.2230 0.2349 0.1380
```


Which formula does entry 3 have? AlGaHgSe4


Number 2 is which compound? AlGaHgTe3S